Starting from a cell relaxed with GGA+U, the powder X-ray diffraction pattern of HfTl2W3O12 was calculated for a wavelength of 1.5418 Å.
Lines closer than 0.1° are merged.

Crystal structure
abc: 7.4976 7.4976 7.4976
angles: 59.38 59.38 59.38
Positions (direct):
Hf  0.0000  0.0000  0.0000
Tl  0.3428  0.3428  0.3428
Tl  0.6572  0.6572  0.6572
W  0.0000  0.0000  0.5000
W  0.0000  0.5000  0.0000
W  0.5000  0.0000  0.0000
O  0.0594  0.6926  0.6926
O  0.0657  0.0657  0.6716
O  0.0657  0.6716  0.0657
O  0.3074  0.3074  0.9406
O  0.3074  0.9406  0.3074
O  0.3284  0.9343  0.9343
O  0.6716  0.0657  0.0657
O  0.6926  0.0594  0.6926
O  0.6926  0.6926  0.0594
O  0.9343  0.3284  0.9343
O  0.9343  0.9343  0.3284
O  0.9406  0.3074  0.3074

Most intense lines, 15 to 90 degrees two-theta, sorted by position:
2θ 23.96, I 13; 2θ 28.09, I 100; 2θ 29.04, I 24; 2θ 29.41, I 19; 2θ 37.99, I 8; 2θ 44.76, I 23; 2θ 48.58, I 8; 2θ 49.06, I 21; 2θ 50.88, I 14; 2θ 58.02, I 21; 2θ 62.70, I 8; 2θ 68.57, I 13